# Na4InSi2SnPO12
Computed powder diffraction line list, CuKα. Input: a structure optimized by DFT (PBE).
Lines closer than 0.1° are merged.

The 12 most intense peaks (2θ = 10–90°), low angle first:
two_theta  d/Å  intensity
13.63  6.499  13
19.31  4.595  100
27.49  3.245  17
30.71  2.911  47
30.84  2.899  24
33.78  2.654  36
33.82  2.650  18
44.12  2.053  12
46.21  1.964  12
46.35  1.959  16
52.71  1.736  16
58.47  1.579  11

```
42
Lattice="7.955 -4.595 0.000 7.955 4.595 0.000 -5.255 0.000 7.510" Properties=species:S:1:pos:R:3 pbc="T T T"
Na 5.327 4.073 3.755
Na -0.184 1.096 7.408
Na 7.742 2.357 1.831
Na 2.444 -1.096 3.653
Na 10.108 0.671 0.027
Na 7.481 -0.671 3.782
Na 5.114 -2.357 5.586
Na 7.955 -4.073 0.000
In 2.427 2.342 6.010
In 5.054 -2.342 2.255
Si 0.080 0.923 3.780
Si 2.707 -0.923 0.026
Si 10.362 0.437 3.777
Si 12.989 -0.437 0.022
Sn 7.729 2.302 5.240
Sn 10.356 -2.302 1.485
P 4.789 0.962 3.765
P 7.416 -0.962 0.010
O 1.044 1.124 2.440
O 1.067 3.160 7.444
O 2.584 0.740 0.098
O 0.728 1.569 5.113
O 4.133 1.629 2.509
O -0.043 -0.740 3.853
O 3.939 2.958 7.429
O -1.584 -1.124 6.195
O 3.930 1.148 5.029
O 6.180 1.669 3.853
O 2.354 0.560 7.382
O 3.355 -1.569 1.358
O 4.982 -0.560 3.627
O 1.506 -1.629 6.264
O 8.957 1.332 3.875
O 6.558 -1.148 1.275
O 7.422 0.515 6.200
O 3.694 -3.160 3.689
O 8.807 -1.669 0.098
O 10.049 -0.515 2.445
O 13.327 0.441 1.336
O 11.585 -1.332 0.120
O 6.566 -2.958 3.674
O 10.700 -0.441 5.090
```